Calculated XRD peak list of Ba7Li3Ru4O20 for CuKα, from the GGA-PBE geometry in Alexandria.

Most intense lines, 10° ≤ 2θ ≤ 80°, by angle:
2θ/deg, I_rel, h k l
17.60, 25, 1 1 0
21.41, 24, 1 1 2
30.49, 100, 3 1 -1
30.67, 37, 0 2 0
33.37, 25, 1 1 5
43.61, 22, 2 2 4

```
data_Ba7Li3Ru4O20
_cell_length_a 10.166
_cell_length_b 5.831
_cell_length_c 17.201
_cell_angle_alpha 90.00
_cell_angle_beta 101.01
_cell_angle_gamma 90.00
_symmetry_space_group_name_H-M 'C 1 2 1'
_symmetry_Int_Tables_number 5
loop_
_symmetry_equiv_pos_as_xyz
'x,y,z'
'-x,y,-z'
'x+1/2,y+1/2,z'
'-x+1/2,y+1/2,-z'
loop_
_atom_site_label
_atom_site_type_symbol
_atom_site_fract_x
_atom_site_fract_y
_atom_site_fract_z
Ba1 Ba 0.000 0.000 0.000
Ba2 Ba 0.060 0.502 0.716
Ba3 Ba 0.191 0.003 0.578
Ba4 Ba 0.235 0.501 0.137
Li1 Li 0.000 0.503 0.500
Li2 Li 0.166 0.500 0.929
Ru1 Ru 0.084 0.002 0.204
Ru2 Ru 0.124 0.003 0.370
O1 O 0.005 0.759 0.858
O2 O 0.006 0.244 0.858
O3 O 0.047 0.002 0.719
O4 O 0.055 0.243 0.424
O5 O 0.055 0.763 0.424
O6 O 0.179 0.226 0.291
O7 O 0.179 0.779 0.291
O8 O 0.203 0.503 0.567
O9 O 0.234 0.001 0.155
O10 O 0.249 0.750 0.000
```